No. 1
For Cr4O15, a crystal structure in the Materials Project, relaxed with GGA+U gives the simulated powder X-ray diffraction pattern in this record (copper Kα).
Kinematic intensities with the Lorentz-polarization factor, no thermal factor.

Most intense lines, 2θ = 10–90°, in order of falling intensity:
d_spacing  two_theta  I/Imax  h k l
4.014  22.15  100  0 1 2
3.734  23.83  94  1 1 -2
5.956  14.87  93  1 1 0
3.359  26.54  89  1 2 1
6.040  14.67  66  0 1 1
4.651  19.08  61  0 0 2
4.231  21.00  59  1 0 -2
3.002  29.76  56  3 0 0

Cell and atoms:
```
data_Cr4O15
_chemical_formula_sum 'Cr8 O30'
_cell_length_a 9.020
_cell_length_b 7.942
_cell_length_c 9.318
_cell_angle_alpha 90.00
_cell_angle_beta 93.22
_cell_angle_gamma 90.00
_symmetry_space_group_name_H-M 'P 1 c 1'
_symmetry_Int_Tables_number 7
loop_
_symmetry_equiv_pos_as_xyz
'x,y,z'
'x,-y,z+1/2'
loop_
_atom_site_label
_atom_site_type_symbol
_atom_site_fract_x
_atom_site_fract_y
_atom_site_fract_z
_atom_site_occupancy
Cr1 Cr 0.000 0.059 0.000 1
Cr2 Cr 0.007 0.388 0.229 1
Cr3 Cr 0.323 0.420 0.863 1
Cr4 Cr 0.655 0.081 0.949 1
O1 O 0.013 0.183 0.866 1
O2 O 0.019 0.178 0.161 1
O3 O 0.124 0.083 0.497 1
O4 O 0.172 0.439 0.332 1
O5 O 0.313 0.318 0.011 1
O6 O 0.347 0.297 0.731 1
O7 O 0.399 0.080 0.326 1
O8 O 0.483 0.059 0.439 1
O9 O 0.503 0.450 0.385 1
O10 O 0.574 0.425 0.505 1
O11 O 0.637 0.215 0.075 1
O12 O 0.661 0.170 0.796 1
O13 O 0.822 0.038 0.485 1
O14 O 0.866 0.398 0.325 1
O15 O 0.984 0.481 0.601 1
```



No. 2
For Cr8O21, a crystal structure in the Materials Project, relaxed with GGA+U gives the simulated powder X-ray diffraction pattern in this record (copper Kα).
Kinematic intensities with the Lorentz-polarization factor, no thermal factor.

Most intense lines, 2θ = 10–90°, in order of falling intensity:
d_spacing  two_theta  I/Imax  h k l
4.111  21.61  100  1 0 -2
3.214  27.75  77  1 1 3
3.889  22.87  41  1 -1 0
2.683  33.40  30  1 0 4
3.316  26.89  28  1 0 -3
6.241  14.19  23  0 0 2
3.593  24.78  22  1 -1 1
3.265  27.32  18  1 0 3

Cell and atoms:
```
data_Cr8O21
_chemical_formula_sum 'Cr8 O21'
_cell_length_a 5.428
_cell_length_b 6.593
_cell_length_c 12.691
_cell_angle_alpha 79.64
_cell_angle_beta 89.50
_cell_angle_gamma 82.64
_symmetry_space_group_name_H-M 'P -1'
_symmetry_Int_Tables_number 2
loop_
_symmetry_equiv_pos_as_xyz
'x,y,z'
'-x,-y,-z'
loop_
_atom_site_label
_atom_site_type_symbol
_atom_site_fract_x
_atom_site_fract_y
_atom_site_fract_z
_atom_site_occupancy
Cr1 Cr 0.134 0.126 0.245 1
Cr2 Cr 0.166 0.248 0.905 1
Cr3 Cr 0.231 0.302 0.471 1
Cr4 Cr 0.363 0.705 0.930 1
O1 O 0.000 0.500 0.500 1
O2 O 0.051 0.262 0.767 1
O3 O 0.091 0.672 0.032 1
O4 O 0.126 0.152 0.383 1
O5 O 0.140 0.739 0.807 1
O6 O 0.148 0.859 0.226 1
O7 O 0.303 0.003 0.933 1
O8 O 0.322 0.146 0.579 1
O9 O 0.360 0.238 0.175 1
O10 O 0.402 0.396 0.937 1
O11 O 0.463 0.401 0.416 1
```



No. 3
For Cr3O8, a crystal structure in the Materials Project, relaxed with GGA+U gives the simulated powder X-ray diffraction pattern in this record (copper Kα).
Kinematic intensities with the Lorentz-polarization factor, no thermal factor.

Most intense lines, 2θ = 10–90°, in order of falling intensity:
d_spacing  two_theta  I/Imax  h k l
5.244  16.91  100  0 0 1
2.732  32.78  31  3 1 -1
2.720  32.93  29  3 1 -2
2.845  31.44  23  0 2 0
2.502  35.90  18  0 2 1
2.856  31.32  17  1 1 1
4.453  19.94  13  1 1 0
1.619  56.86  11  3 3 -1

Cell and atoms:
```
data_Cr3O8
_chemical_formula_sum 'Cr6 O16'
_cell_length_a 9.754
_cell_length_b 5.692
_cell_length_c 7.125
_cell_angle_alpha 90.00
_cell_angle_beta 132.60
_cell_angle_gamma 90.00
_symmetry_space_group_name_H-M 'C 1 2/m 1'
_symmetry_Int_Tables_number 12
loop_
_symmetry_equiv_pos_as_xyz
'x,y,z'
'-x,-y,-z'
'-x,y,-z'
'x,-y,z'
'x+1/2,y+1/2,z'
'-x+1/2,-y+1/2,-z'
'-x+1/2,y+1/2,-z'
'x+1/2,-y+1/2,z'
loop_
_atom_site_label
_atom_site_type_symbol
_atom_site_fract_x
_atom_site_fract_y
_atom_site_fract_z
_atom_site_occupancy
Cr1 Cr 0.000 0.000 0.000 1
Cr2 Cr 0.228 0.500 0.125 1
O1 O 0.056 0.000 0.787 1
O2 O 0.078 0.500 0.823 1
O3 O 0.190 0.249 0.212 1
```



No. 4
For Cr8O21, a crystal structure in the Materials Project, relaxed with GGA+U gives the simulated powder X-ray diffraction pattern in this record (copper Kα).
Kinematic intensities with the Lorentz-polarization factor, no thermal factor.

Most intense lines, 2θ = 10–90°, in order of falling intensity:
d_spacing  two_theta  I/Imax  h k l
3.397  26.24  100  1 1 -2
3.890  22.86  92  1 0 2
3.770  23.60  63  -1 1 1
3.152  28.32  63  0 2 2
3.935  22.59  55  1 1 2
3.828  23.23  42  0 1 3
3.110  28.71  41  1 0 3
3.266  27.30  39  1 0 -3

Cell and atoms:
```
data_Cr8O21
_chemical_formula_sum 'Cr8 O21'
_cell_length_a 5.523
_cell_length_b 6.686
_cell_length_c 12.258
_cell_angle_alpha 74.93
_cell_angle_beta 89.64
_cell_angle_gamma 78.12
_symmetry_space_group_name_H-M 'P -1'
_symmetry_Int_Tables_number 2
loop_
_symmetry_equiv_pos_as_xyz
'x,y,z'
'-x,-y,-z'
loop_
_atom_site_label
_atom_site_type_symbol
_atom_site_fract_x
_atom_site_fract_y
_atom_site_fract_z
_atom_site_occupancy
Cr1 Cr 0.152 0.356 0.432 1
Cr2 Cr 0.270 0.236 0.973 1
Cr3 Cr 0.293 0.835 0.395 1
Cr4 Cr 0.348 0.627 0.754 1
O1 O 0.038 0.212 0.906 1
O2 O 0.088 0.660 0.443 1
O3 O 0.131 0.568 0.682 1
O4 O 0.182 0.283 0.090 1
O5 O 0.198 0.054 0.437 1
O6 O 0.270 0.869 0.756 1
O7 O 0.304 0.885 0.261 1
O8 O 0.382 0.457 0.894 1
O9 O 0.385 0.411 0.310 1
O10 O 0.425 0.287 0.548 1
O11 O 0.500 0.000 0.000 1
```



No. 5
For Cr6O11, a crystal structure in the Materials Project, relaxed with GGA+U gives the simulated powder X-ray diffraction pattern in this record (copper Kα).
Kinematic intensities with the Lorentz-polarization factor, no thermal factor.

Most intense lines, 2θ = 10–90°, in order of falling intensity:
d_spacing  two_theta  I/Imax  h k l
2.908  30.75  100  1 0 3
3.329  26.78  88  1 2 0
3.082  28.97  81  1 2 -1
1.692  54.21  72  1 2 5
3.802  23.40  66  1 0 2
1.658  55.42  57  2 0 5
2.517  35.67  56  1 0 -3
2.486  36.13  50  1 -2 0

Cell and atoms:
```
data_Cr6O11
_chemical_formula_sum 'Cr12 O22'
_cell_length_a 5.473
_cell_length_b 7.085
_cell_length_c 9.601
_cell_angle_alpha 89.55
_cell_angle_beta 81.06
_cell_angle_gamma 72.10
_symmetry_space_group_name_H-M 'P -1'
_symmetry_Int_Tables_number 2
loop_
_symmetry_equiv_pos_as_xyz
'x,y,z'
'-x,-y,-z'
loop_
_atom_site_label
_atom_site_type_symbol
_atom_site_fract_x
_atom_site_fract_y
_atom_site_fract_z
_atom_site_occupancy
Cr1 Cr 0.171 0.308 0.061 1
Cr2 Cr 0.179 0.808 0.059 1
Cr3 Cr 0.229 0.360 0.413 1
Cr4 Cr 0.232 0.861 0.413 1
Cr5 Cr 0.309 0.431 0.759 1
Cr6 Cr 0.312 0.924 0.762 1
O1 O 0.012 0.093 0.112 1
O2 O 0.054 0.426 0.250 1
O3 O 0.101 0.640 0.474 1
O4 O 0.124 0.983 0.604 1
O5 O 0.183 0.207 0.853 1
O6 O 0.213 0.545 0.963 1
O7 O 0.341 0.736 0.223 1
O8 O 0.358 0.079 0.351 1
O9 O 0.408 0.300 0.574 1
O10 O 0.439 0.643 0.699 1
O11 O 0.473 0.834 0.932 1
```



No. 6
For Cr3O8, a crystal structure in the Materials Project, relaxed with GGA+U gives the simulated powder X-ray diffraction pattern in this record (copper Kα).
Kinematic intensities with the Lorentz-polarization factor, no thermal factor.

Most intense lines, 2θ = 10–90°, in order of falling intensity:
d_spacing  two_theta  I/Imax  h k l
5.461  16.23  100  0 1 1
3.874  22.96  78  1 1 0
3.850  23.10  73  1 1 -2
3.554  25.06  47  0 2 1
2.731  32.79  32  2 0 -2
2.853  31.35  24  1 1 -3
2.873  31.14  24  1 1 1
2.422  37.12  17  1 3 -1

Cell and atoms:
```
data_Cr3O8
_chemical_formula_sum 'Cr6 O16'
_cell_length_a 5.463
_cell_length_b 8.107
_cell_length_c 9.152
_cell_angle_alpha 90.00
_cell_angle_beta 126.17
_cell_angle_gamma 90.00
_symmetry_space_group_name_H-M 'P 1 21/c 1'
_symmetry_Int_Tables_number 14
loop_
_symmetry_equiv_pos_as_xyz
'x,y,z'
'-x,-y,-z'
'-x,y+1/2,-z+1/2'
'x,-y+1/2,z+1/2'
loop_
_atom_site_label
_atom_site_type_symbol
_atom_site_fract_x
_atom_site_fract_y
_atom_site_fract_z
_atom_site_occupancy
Cr1 Cr 0.000 0.000 0.000 1
Cr2 Cr 0.302 0.183 0.805 1
O1 O 0.064 0.063 0.826 1
O2 O 0.098 0.222 0.100 1
O3 O 0.427 0.560 0.671 1
O4 O 0.455 0.184 0.461 1
```



No. 7
For Cr3O8, a crystal structure in the Materials Project, relaxed with GGA+U gives the simulated powder X-ray diffraction pattern in this record (copper Kα).
Kinematic intensities with the Lorentz-polarization factor, no thermal factor.

Most intense lines, 2θ = 10–90°, in order of falling intensity:
d_spacing  two_theta  I/Imax  h k l
3.890  22.86  100  1 1 -1
3.706  24.01  61  2 0 1
6.877  12.87  57  0 0 1
2.627  34.13  29  3 1 0
2.791  32.07  28  1 1 -2
2.724  32.88  17  0 2 0
3.826  23.25  12  2 0 -1
1.645  55.88  11  5 1 1

Cell and atoms:
```
data_Cr3O8
_chemical_formula_sum 'Cr6 O16'
_cell_length_a 9.001
_cell_length_b 5.448
_cell_length_c 6.882
_cell_angle_alpha 90.00
_cell_angle_beta 91.97
_cell_angle_gamma 90.00
_symmetry_space_group_name_H-M 'C 1 2/m 1'
_symmetry_Int_Tables_number 12
loop_
_symmetry_equiv_pos_as_xyz
'x,y,z'
'-x,-y,-z'
'-x,y,-z'
'x,-y,z'
'x+1/2,y+1/2,z'
'-x+1/2,-y+1/2,-z'
'-x+1/2,y+1/2,-z'
'x+1/2,-y+1/2,z'
loop_
_atom_site_label
_atom_site_type_symbol
_atom_site_fract_x
_atom_site_fract_y
_atom_site_fract_z
_atom_site_occupancy
Cr1 Cr 0.000 0.000 0.000 1
Cr2 Cr 0.140 0.500 0.772 1
O1 O 0.033 0.245 0.810 1
O2 O 0.190 0.500 0.552 1
O3 O 0.214 0.000 0.073 1
```